This entry pairs a crystal structure of LiNbWF2 with its theoretical PXRD pattern. Radiation: Cu Kα, 1.54184 Å. Structure: a structure optimized by DFT (PBE+U).
Peak positions follow from Bragg's law for the DFT cell and can differ from measured ones.

Main lines, low angle first (10° ≤ 2θ ≤ 90°):
| two_theta | I/Imax |
| --- | --- |
| 16.2 | 100 |
| 32.7 | 36 |
| 33.2 | 38 |
| 37.2 | 94 |
| 47.3 | 30 |
| 47.7 | 24 |
| 50.7 | 22 |
| 59.0 | 25 |

Lattice parameters (Å, degrees): 3.8115 3.8115 5.4802 90.00 90.00 90.00
Element x y z (fractional)
Li1 0.0000 0.0000 0.0000
Nb1 0.0000 0.0000 0.5000
W1 0.5000 0.5000 0.5000
F1 0.0000 0.5000 0.0000
F2 0.5000 0.0000 0.0000